Entry 1:
Diffraction record for Mg2In2SnPd4. The powder diffractogram is simulated, not measured: it uses a crystal structure in Alexandria, relaxed with PBE and Cu Kα X-rays.
Intensities are scaled so that the largest is 100.

Atomic structure:
```
data_Mg2In2SnPd4
_chemical_formula_sum 'Mg4 In4 Sn2 Pd8'
_space_group_name_H-M_alt 'I 4/m m m'
_space_group_IT_number 139
_space_group_name_Hall '-I 4 2'
_cell_length_a 6.4763
_cell_length_b 6.4763
_cell_length_c 8.7568
_cell_angle_alpha 90.00
_cell_angle_beta 90.00
_cell_angle_gamma 90.00
loop_
_atom_site_label
_atom_site_type_symbol
_atom_site_fract_x
_atom_site_fract_y
_atom_site_fract_z
Mg1 Mg 0.0000 0.0000 0.1925
In1 In 0.0000 0.5000 0.2500
Sn1 Sn 0.0000 0.0000 0.5000
Pd1 Pd 0.2200 0.2200 0.0000
```

The 10 most intense peaks (5° ≤ 2θ ≤ 70°), in order of falling intensity:
2theta	d (Å)	Rel. int.
34.45	2.603	100
39.35	2.290	69
28.20	3.165	61
58.31	1.582	38
41.24	2.189	31
20.28	4.378	25
32.56	2.750	24
56.87	1.619	20
43.16	2.096	20
44.05	2.056	19



Entry 2:
Diffraction record for TbMg2InPd4. The powder diffractogram is simulated, not measured: it uses a crystal structure in Alexandria, relaxed with PBE and Cu Kα X-rays.
Intensities are scaled so that the largest is 100.

Atomic structure:
```
data_TbMg2InPd4
_chemical_formula_sum 'Tb3 Mg6 In3 Pd12'
_space_group_name_H-M_alt 'R -3 m'
_space_group_IT_number 166
_space_group_name_Hall '-R 3 2"'
_cell_length_a 4.6868
_cell_length_b 4.6868
_cell_length_c 22.8771
_cell_angle_alpha 90.00
_cell_angle_beta 90.00
_cell_angle_gamma 120.00
loop_
_atom_site_label
_atom_site_type_symbol
_atom_site_fract_x
_atom_site_fract_y
_atom_site_fract_z
Tb1 Tb 0.0000 0.0000 0.0000
Mg1 Mg 0.0000 0.0000 0.2471
In1 In 0.0000 0.0000 0.5000
Pd1 Pd 0.0000 0.0000 0.1261
Pd2 Pd 0.0000 0.0000 0.3798
```

The 10 most intense peaks (5° ≤ 2θ ≤ 70°), in order of falling intensity:
2theta	d (Å)	Rel. int.
38.46	2.341	100
69.51	1.352	25
23.27	3.823	21
55.52	1.655	17
69.73	1.349	8
45.41	1.997	7
45.51	1.993	4
26.94	3.310	3
60.93	1.521	2
61.03	1.518	2



Entry 3:
Diffraction record for PmMg11In. The powder diffractogram is simulated, not measured: it uses a crystal structure in Alexandria, relaxed with PBE and Cu Kα X-rays.
Intensities are scaled so that the largest is 100.

Atomic structure:
```
data_PmMg11In
_chemical_formula_sum 'Pm2 Mg22 In2'
_space_group_name_H-M_alt 'C 1 2/m 1'
_space_group_IT_number 12
_cell_length_a 5.9305
_cell_length_b 14.5055
_cell_length_c 7.7716
_cell_angle_alpha 90.00
_cell_angle_beta 111.88
_cell_angle_gamma 90.00
loop_
_space_group_symop_operation_xyz
'x,y,z'
'-x,-y,-z'
'-x,y,-z'
'x,-y,z'
'x+1/2,y+1/2,z'
'-x+1/2,-y+1/2,-z'
'-x+1/2,y+1/2,-z'
'x+1/2,-y+1/2,z'
loop_
_atom_site_label
_atom_site_type_symbol
_atom_site_fract_x
_atom_site_fract_y
_atom_site_fract_z
Pm1 Pm 0.0000 0.0000 0.0000
Mg1 Mg 0.0000 0.0000 0.5000
Mg2 Mg 0.1084 0.3943 0.2113
Mg3 Mg 0.1722 0.1759 0.3514
Mg4 Mg 0.2500 0.2500 0.0000
In1 In 0.0000 0.5000 0.5000
```

The 10 most intense peaks (5° ≤ 2θ ≤ 70°), in order of falling intensity:
2theta	d (Å)	Rel. int.
35.07	2.559	100
24.54	3.627	67
12.20	7.252	50
17.34	5.115	43
34.89	2.572	36
30.15	2.964	36
35.28	2.544	25
27.62	3.229	22
62.69	1.482	19
50.27	1.815	18



Entry 4:
Diffraction record for Pm5Mg2In. The powder diffractogram is simulated, not measured: it uses a crystal structure in Alexandria, relaxed with PBE and Cu Kα X-rays.
Intensities are scaled so that the largest is 100.

Atomic structure:
```
data_Pm5Mg2In
_chemical_formula_sum 'Pm10 Mg4 In2'
_space_group_name_H-M_alt 'I 4 m m'
_space_group_IT_number 107
_space_group_name_Hall 'I 4 -2'
_cell_length_a 7.9800
_cell_length_b 7.9800
_cell_length_c 7.5282
_cell_angle_alpha 90.00
_cell_angle_beta 90.00
_cell_angle_gamma 90.00
loop_
_atom_site_label
_atom_site_type_symbol
_atom_site_fract_x
_atom_site_fract_y
_atom_site_fract_z
Pm1 Pm 0.0000 0.0000 0.0000
Pm2 Pm 0.2501 0.2501 0.2494
Mg1 Mg 0.0000 0.5000 0.0002
In1 In 0.0000 0.0000 0.4989
```

The 10 most intense peaks (5° ≤ 2θ ≤ 70°), in order of falling intensity:
2theta	d (Å)	Rel. int.
32.71	2.738	100
31.71	2.821	54
57.13	1.612	40
45.46	1.995	20
59.00	1.566	19
15.70	5.643	16
68.55	1.369	12
22.28	3.990	12
48.36	1.882	9
28.50	3.131	8



Entry 5:
Diffraction record for PmMg2In3. The powder diffractogram is simulated, not measured: it uses a crystal structure in Alexandria, relaxed with PBE and Cu Kα X-rays.
Intensities are scaled so that the largest is 100.

Atomic structure:
```
data_PmMg2In3
_chemical_formula_sum 'Pm2 Mg4 In6'
_space_group_name_H-M_alt 'C m m m'
_space_group_IT_number 65
_space_group_name_Hall '-C 2 2'
_cell_length_a 4.6192
_cell_length_b 14.0532
_cell_length_c 4.5596
_cell_angle_alpha 90.00
_cell_angle_beta 90.00
_cell_angle_gamma 90.00
loop_
_atom_site_label
_atom_site_type_symbol
_atom_site_fract_x
_atom_site_fract_y
_atom_site_fract_z
Pm1 Pm 0.0000 0.0000 0.0000
Mg1 Mg 0.0000 0.3263 0.0000
In1 In 0.0000 0.1715 0.5000
In2 In 0.0000 0.5000 0.5000
```

The 10 most intense peaks (5° ≤ 2θ ≤ 70°), in order of falling intensity:
2theta	d (Å)	Rel. int.
33.60	2.667	100
38.43	2.342	17
39.00	2.310	17
39.53	2.280	16
66.45	1.407	13
67.21	1.393	13
67.94	1.380	12
55.91	1.645	11
56.31	1.634	11
56.74	1.622	11



Entry 6:
Diffraction record for PmMg15In4. The powder diffractogram is simulated, not measured: it uses a crystal structure in Alexandria, relaxed with PBE and Cu Kα X-rays.
Intensities are scaled so that the largest is 100.

Atomic structure:
```
data_PmMg15In4
_chemical_formula_sum 'Pm1 Mg15 In4'
_space_group_name_H-M_alt 'P 4/m m m'
_space_group_IT_number 123
_space_group_name_Hall '-P 4 2'
_cell_length_a 4.7073
_cell_length_b 4.7073
_cell_length_c 21.1882
_cell_angle_alpha 90.00
_cell_angle_beta 90.00
_cell_angle_gamma 90.00
loop_
_atom_site_label
_atom_site_type_symbol
_atom_site_fract_x
_atom_site_fract_y
_atom_site_fract_z
Pm1 Pm 0.0000 0.0000 0.0000
Mg1 Mg 0.0000 0.5000 0.1071
Mg2 Mg 0.0000 0.5000 0.3018
Mg3 Mg 0.0000 0.5000 0.5000
Mg4 Mg 0.5000 0.5000 0.0000
Mg5 Mg 0.5000 0.5000 0.2065
Mg6 Mg 0.5000 0.5000 0.3998
In1 In 0.0000 0.0000 0.2017
In2 In 0.0000 0.0000 0.4019
```

The 10 most intense peaks (5° ≤ 2θ ≤ 70°), in order of falling intensity:
2theta	d (Å)	Rel. int.
34.26	2.618	100
18.85	4.707	52
28.34	3.149	39
38.24	2.354	37
66.59	1.404	27
26.78	3.329	22
20.96	4.238	20
58.62	1.575	20
48.27	1.885	18
42.67	2.119	13